Structure and computed powder X-ray diffraction pattern of Ce2PmIr3 (a crystal structure in Alexandria, relaxed with GGA-PBE; Cu Kα (weighted mean of Kα1 and Kα2)).
Lines closer than 0.1° are merged.

Top 10 peaks for 10 to 90 degrees two-theta, in order of falling intensity:
2θ/deg  d/Å  I_rel
36.3  2.474  100.0
40.4  2.235  62.1
34.4  2.608  50.6
41.6  2.169  29.8
77.1  1.237  29.7
61.6  1.506  28.4
17.0  5.216  28.1
57.1  1.614  27.2
55.1  1.668  26.9
26.7  3.335  22.6

```
12
Lattice="6.028 0.000 0.000 0.000 10.422 0.000 0.000 0.000 4.339" Properties=species:S:1:pos:R:3 pbc="T T T"
Ce 0.000 1.739 0.000
Ce 0.000 8.683 0.000
Ce 3.014 3.472 0.000
Ce 3.014 6.949 0.000
Pm 0.000 5.211 0.000
Pm 3.014 0.000 0.000
Ir 0.000 0.000 2.169
Ir 1.507 2.605 2.169
Ir 1.507 7.816 2.169
Ir 3.014 5.211 2.169
Ir 4.521 2.605 2.169
Ir 4.521 7.816 2.169
```

***

Structure and computed powder X-ray diffraction pattern of Ce5PmIr6 (a crystal structure in Alexandria, relaxed with GGA-PBE; Cu Kα (weighted mean of Kα1 and Kα2)).
Lines closer than 0.1° are merged.

Top 10 peaks for 10 to 90 degrees two-theta, in order of falling intensity:
2θ/deg  d/Å  I_rel
31.3  2.860  100.0
44.8  2.023  62.0
74.1  1.279  27.7
55.6  1.652  19.6
82.6  1.168  14.5
44.9  2.021  12.4
65.2  1.430  12.1
82.7  1.167  10.5
55.7  1.649  6.6
74.0  1.280  5.5

```
12
Lattice="3.503 -6.075 0.000 3.503 6.075 0.000 -2.337 0.000 6.597" Properties=species:S:1:pos:R:3 pbc="T T T"
Ce 0.000 0.000 0.000
Ce 2.335 4.043 3.299
Ce 3.503 2.012 0.000
Ce 3.503 -2.012 0.000
Ce 2.335 -4.043 3.299
Pm 2.335 0.000 3.299
Ir 1.129 2.085 1.623
Ir -0.070 0.000 4.993
Ir 1.129 -2.085 1.623
Ir 3.541 2.085 4.974
Ir 4.740 0.000 1.604
Ir 3.541 -2.085 4.974
```

***

Structure and computed powder X-ray diffraction pattern of CePm2Ir3 (a crystal structure in Alexandria, relaxed with GGA-PBE; Cu Kα (weighted mean of Kα1 and Kα2)).
Lines closer than 0.1° are merged.

Top 10 peaks for 10 to 90 degrees two-theta, in order of falling intensity:
2θ/deg  d/Å  I_rel
31.0  2.884  100.0
44.3  2.045  75.7
30.8  2.899  51.6
55.4  1.659  20.1
54.7  1.678  19.4
44.8  2.022  18.7
44.0  2.057  18.2
73.1  1.295  17.7
81.2  1.185  17.5
73.3  1.291  16.2

```
12
Lattice="4.045 0.000 0.000 0.000 5.797 0.000 0.000 0.000 12.343" Properties=species:S:1:pos:R:3 pbc="T T T"
Ce 0.000 0.000 0.000
Ce 2.022 2.899 6.171
Pm 0.000 0.000 4.090
Pm 0.000 0.000 8.253
Pm 2.022 2.899 2.082
Pm 2.022 2.899 10.261
Ir 0.000 2.899 0.000
Ir 0.000 2.899 4.260
Ir 0.000 2.899 8.083
Ir 2.022 0.000 1.912
Ir 2.022 0.000 6.171
Ir 2.022 0.000 10.431
```

***

Structure and computed powder X-ray diffraction pattern of CePm12Ir7 (a crystal structure in Alexandria, relaxed with GGA-PBE; Cu Kα (weighted mean of Kα1 and Kα2)).
Lines closer than 0.1° are merged.

Top 10 peaks for 10 to 90 degrees two-theta, in order of falling intensity:
2θ/deg  d/Å  I_rel
31.1  2.877  100.0
44.3  2.045  38.0
44.8  2.023  36.2
55.5  1.655  19.2
12.1  7.294  18.3
73.3  1.292  16.5
74.0  1.281  16.2
82.2  1.172  12.1
64.8  1.438  12.0
16.6  5.352  12.0

```
20
Lattice="7.294 4.211 3.359 -7.294 4.211 3.359 0.000 -8.422 3.359" Properties=species:S:1:pos:R:3 pbc="T T T"
Ce 0.000 0.000 0.000
Pm -4.479 1.370 3.280
Pm -1.576 -1.595 3.328
Pm 1.053 -4.564 3.280
Pm -3.426 -3.194 6.797
Pm -0.593 2.162 3.328
Pm 2.169 -0.568 3.328
Pm -2.169 0.568 6.748
Pm 0.593 -2.162 6.748
Pm 3.426 3.194 3.280
Pm -1.053 4.564 6.797
Pm 1.576 1.595 6.748
Pm 4.479 -1.370 6.797
Ir -2.295 0.581 1.675
Ir 0.644 -2.278 1.675
Ir 1.651 1.697 1.675
Ir 0.000 0.000 5.038
Ir -1.651 -1.697 8.402
Ir -0.644 2.278 8.402
Ir 2.295 -0.581 8.402
```

***

Structure and computed powder X-ray diffraction pattern of CePmIrRh (a crystal structure in Alexandria, relaxed with GGA-PBE; Cu Kα (weighted mean of Kα1 and Kα2)).
Lines closer than 0.1° are merged.

Top 10 peaks for 10 to 90 degrees two-theta, in order of falling intensity:
2θ/deg  d/Å  I_rel
32.6  2.745  100.0
40.1  2.250  72.3
32.3  2.775  38.0
43.8  2.065  25.2
39.1  2.304  22.1
46.7  1.946  21.0
55.5  1.657  16.4
33.4  2.682  15.3
65.9  1.417  14.9
57.9  1.594  14.4

```
8
Lattice="4.131 0.000 0.000 0.000 3.893 0.000 0.000 0.000 11.102" Properties=species:S:1:pos:R:3 pbc="T T T"
Ce 0.000 0.000 0.000
Ce 0.000 1.946 5.551
Pm 2.065 0.000 3.089
Pm 2.065 1.946 8.640
Ir 2.065 0.000 6.060
Ir 2.065 1.946 0.509
Rh 0.000 0.000 8.077
Rh 0.000 1.946 2.526
```

***

Structure and computed powder X-ray diffraction pattern of CePrIr (a crystal structure in Alexandria, relaxed with GGA-PBE; Cu Kα (weighted mean of Kα1 and Kα2)).
Lines closer than 0.1° are merged.

Top 10 peaks for 10 to 90 degrees two-theta, in order of falling intensity:
2θ/deg  d/Å  I_rel
31.2  2.870  100.0
36.7  2.448  96.6
36.9  2.436  52.9
40.4  2.233  46.5
55.9  1.646  36.3
29.1  3.068  32.8
46.0  1.975  28.6
33.1  2.707  27.9
21.3  4.177  26.6
60.3  1.534  25.5

```
6
Lattice="3.950 0.000 0.000 0.001 4.871 0.000 0.006 0.003 8.120" Properties=species:S:1:pos:R:3 pbc="T T T"
Ce 0.980 1.209 0.350
Ce 2.976 3.665 7.770
Pr 0.991 3.653 2.973
Pr 2.965 1.221 5.147
Ir 0.997 3.653 5.893
Ir 2.959 1.222 2.227
```

***

Structure and computed powder X-ray diffraction pattern of Ce2Pr2Ir3 (a crystal structure in Alexandria, relaxed with GGA-PBE; Cu Kα (weighted mean of Kα1 and Kα2)).
Lines closer than 0.1° are merged.

Top 10 peaks for 10 to 90 degrees two-theta, in order of falling intensity:
2θ/deg  d/Å  I_rel
29.7  3.011  100.0
37.1  2.423  50.6
38.9  2.315  48.1
41.3  2.185  35.2
15.5  5.730  30.1
36.0  2.495  29.1
43.0  2.105  26.4
39.1  2.301  23.1
12.2  7.278  21.7
31.8  2.818  19.7

```
14
Lattice="14.883 0.000 0.000 0.000 4.371 0.000 -1.220 0.000 5.730" Properties=species:S:1:pos:R:3 pbc="T T T"
Ce 2.106 0.000 1.812
Ce 4.115 2.185 3.918
Ce 9.547 2.185 1.812
Ce 11.556 0.000 3.918
Pr 0.366 2.185 4.601
Pr 5.855 0.000 1.129
Pr 7.807 0.000 4.601
Pr 13.297 2.185 1.129
Ir 0.000 0.000 0.000
Ir 2.473 0.000 4.647
Ir 3.748 2.185 1.083
Ir 7.441 2.185 0.000
Ir 9.915 2.185 4.647
Ir 11.189 0.000 1.083
```

***

Structure and computed powder X-ray diffraction pattern of Ce8Ir5Pt (a crystal structure in Alexandria, relaxed with GGA-PBE; Cu Kα (weighted mean of Kα1 and Kα2)).
Lines closer than 0.1° are merged.

Top 10 peaks for 10 to 90 degrees two-theta, in order of falling intensity:
2θ/deg  d/Å  I_rel
32.4  2.767  100.0
38.5  2.336  52.1
32.6  2.747  48.5
38.7  2.327  23.3
65.8  1.420  19.3
46.4  1.956  17.4
80.7  1.191  15.8
53.4  1.716  14.0
49.0  1.860  13.6
53.7  1.708  13.4

```
14
Lattice="-4.377 4.377 4.340 4.377 -4.377 4.340 4.377 4.377 -4.340" Properties=species:S:1:pos:R:3 pbc="T T T"
Ce 3.848 1.688 0.587
Ce 0.519 1.619 1.583
Ce 2.690 -0.530 3.753
Ce 1.688 4.907 -0.587
Ce -2.758 3.859 2.757
Ce 0.530 2.690 4.927
Ce 2.758 4.896 2.757
Ce -0.519 7.136 1.583
Ir 1.124 2.196 -1.071
Ir 6.559 1.124 1.071
Ir 0.000 0.000 4.340
Ir 3.254 2.182 3.269
Ir -2.182 3.254 5.412
Pt 0.000 4.377 2.170
```

***

Structure and computed powder X-ray diffraction pattern of CeIrPt3 (a crystal structure in Alexandria, relaxed with GGA-PBE; Cu Kα (weighted mean of Kα1 and Kα2)).
Lines closer than 0.1° are merged.

Top 10 peaks for 10 to 90 degrees two-theta, in order of falling intensity:
2θ/deg  d/Å  I_rel
34.2  2.619  100.0
35.5  2.528  90.7
42.5  2.127  86.2
50.2  1.819  69.0
38.7  2.327  68.6
52.6  1.740  57.6
28.4  3.145  49.1
16.9  5.238  38.9
22.6  3.932  34.1
46.1  1.969  33.5

```
10
Lattice="5.055 0.000 0.000 0.000 7.865 0.000 0.000 0.000 5.238" Properties=species:S:1:pos:R:3 pbc="T T T"
Ce 0.000 0.000 0.000
Ce 2.528 3.932 0.000
Ir 0.000 3.932 2.619
Ir 2.528 0.000 2.619
Pt 0.000 1.343 2.619
Pt 0.000 3.932 0.000
Pt 0.000 6.522 2.619
Pt 2.528 0.000 0.000
Pt 2.528 2.589 2.619
Pt 2.528 5.275 2.619
```

***

Structure and computed powder X-ray diffraction pattern of Ce2IrPt (a crystal structure in Alexandria, relaxed with GGA-PBE; Cu Kα (weighted mean of Kα1 and Kα2)).
Lines closer than 0.1° are merged.

Top 10 peaks for 10 to 90 degrees two-theta, in order of falling intensity:
2θ/deg  d/Å  I_rel
32.4  2.759  100.0
39.8  2.266  83.6
31.9  2.806  43.6
43.2  2.095  27.2
46.8  1.940  24.9
54.7  1.679  20.1
38.6  2.332  19.2
65.6  1.423  18.3
76.9  1.240  12.4
72.4  1.305  10.0

```
8
Lattice="5.945 0.000 0.000 0.000 4.190 0.000 -2.556 0.000 7.326" Properties=species:S:1:pos:R:3 pbc="T T T"
Ce 0.214 1.048 3.209
Ce -1.017 1.048 6.778
Ce 4.406 3.143 0.549
Ce 3.175 3.143 4.117
Ir 0.005 3.143 5.146
Ir 3.384 1.048 2.180
Pt 1.334 3.143 1.483
Pt 2.055 1.048 5.844
```

***

Structure and computed powder X-ray diffraction pattern of CeSmIrPt (a crystal structure in Alexandria, relaxed with GGA-PBE; Cu Kα (weighted mean of Kα1 and Kα2)).
Lines closer than 0.1° are merged.

Top 10 peaks for 10 to 90 degrees two-theta, in order of falling intensity:
2θ/deg  d/Å  I_rel
32.5  2.758  100.0
39.7  2.271  85.6
31.6  2.832  40.2
43.1  2.099  28.2
38.3  2.347  24.7
62.2  1.492  23.2
47.0  1.932  22.0
54.4  1.686  17.5
65.7  1.422  16.3
57.8  1.596  14.6

```
8
Lattice="4.198 0.000 0.000 0.000 3.864 0.000 0.000 0.000 11.326" Properties=species:S:1:pos:R:3 pbc="T T T"
Ce 0.000 0.000 0.000
Ce 0.000 1.932 5.663
Sm 2.099 0.000 3.134
Sm 2.099 1.932 8.797
Ir 2.099 0.000 6.075
Ir 2.099 1.932 0.412
Pt 0.000 0.000 8.156
Pt 0.000 1.932 2.493
```

***

Structure and computed powder X-ray diffraction pattern of CePu5Ir4 (a crystal structure in Alexandria, relaxed with GGA-PBE; Cu Kα (weighted mean of Kα1 and Kα2)).
Lines closer than 0.1° are merged.

Top 10 peaks for 10 to 90 degrees two-theta, in order of falling intensity:
2θ/deg  d/Å  I_rel
36.9  2.435  100.0
37.6  2.395  95.0
37.3  2.413  48.9
37.4  2.406  47.9
53.8  1.704  34.3
68.0  1.379  25.4
67.0  1.397  18.2
67.1  1.396  18.2
66.7  1.403  17.9
67.4  1.390  17.7

```
10
Lattice="7.220 -2.413 0.000 7.220 2.413 0.000 -0.162 0.000 6.844" Properties=species:S:1:pos:R:3 pbc="T T T"
Ce 0.000 0.000 0.000
Pu -0.081 0.000 3.422
Pu 4.691 0.000 3.432
Pu 4.824 0.000 0.042
Pu 9.454 0.000 6.802
Pu 9.587 0.000 3.411
Ir 2.303 0.000 5.130
Ir 7.008 0.000 5.108
Ir 7.271 0.000 1.736
Ir 11.975 0.000 1.714
```